Simulated powder diffraction line list
Compound: KMgMnO2
Radiation: Cu Kα, 1.54184 Å
Structure: a structure optimized by DFT (PBE+U)
Intensities are scaled so that the largest is 100.

```
KMgMnO2
1.0
3.233 0.000 0.000
1.616 2.913 0.000
1.600 -0.446 8.908
K Mg Mn O
1 1 1 2
Cartesian
0.000 0.000 0.000
1.616 0.764 5.257
3.234 1.980 2.765
1.618 0.975 1.802
4.849 2.663 4.436
```

Principal peaks in the range 2θ = 10–80°, sorted by position:
2θ/deg	I (rel.)
30.1	50.9
31.9	32.2
32.9	39.6
34.8	65.0
35.5	79.0
36.0	78.3
41.2	100.0
55.2	31.0
55.7	26.1
56.1	33.0

Simulated powder diffraction line list
Compound: Li2V2CrP3O12
Radiation: Cu Kα, 1.54184 Å
Structure: a structure optimized by DFT (PBE+U)
Intensities are scaled so that the largest is 100.

```
Li2V2CrP3O12
1.0
7.424 -4.498 0.000
7.424 4.498 0.000
-4.455 0.000 7.183
Li V Cr P O
4 4 2 6 24
Cartesian
0.000 0.000 0.000
3.983 1.682 0.742
6.409 1.682 6.441
5.196 -1.781 3.591
3.169 3.522 4.338
7.223 3.522 2.844
5.486 -0.964 0.729
4.906 -0.964 6.454
2.588 -1.017 1.828
7.804 -1.017 5.354
-1.454 0.325 5.784
7.424 1.804 0.000
5.196 0.914 3.591
2.082 -2.340 4.912
11.846 0.325 1.399
8.310 -2.340 2.271
-2.943 -0.030 5.648
1.004 0.580 2.343
2.405 2.817 6.101
-0.648 -0.248 4.634
4.053 1.783 4.118
3.462 -0.254 0.012
7.987 2.817 1.082
6.195 0.998 0.412
6.339 1.783 3.064
4.588 -0.039 2.498
1.617 -1.749 3.530
4.197 0.998 6.771
1.127 -1.967 6.052
5.804 -0.039 4.685
4.151 -2.624 1.315
3.541 -1.886 5.086
6.851 -1.886 2.096
9.388 0.580 4.840
6.930 -0.254 7.171
11.040 -0.248 2.549
9.265 -1.967 1.131
8.775 -1.749 3.653
6.241 -2.624 5.868
13.335 -0.030 1.534
```

Principal peaks in the range 2θ = 10–80°, sorted by position:
2θ/deg	I (rel.)
19.8	100.0
23.3	65.6
23.7	61.7
24.0	61.5
30.6	22.2
32.4	48.7
32.8	41.6
33.4	34.3
34.6	83.1
54.0	27.6

Simulated powder diffraction line list
Compound: CaMo2O4
Radiation: Cu Kα, 1.54184 Å
Structure: a structure optimized by DFT (PBE+U)
Intensities are scaled so that the largest is 100.

```
CaMo2O4
1.0
1.611 -5.274 0.000
1.611 5.274 0.000
0.000 0.000 10.516
Ca Mo O
2 4 8
Cartesian
1.611 4.061 7.887
1.611 -4.061 2.629
1.611 1.399 6.011
1.611 1.399 9.764
1.611 -1.399 0.753
1.611 -1.399 4.506
0.000 0.000 0.000
0.000 0.000 5.258
1.611 2.481 1.165
1.611 2.481 4.093
1.611 0.401 7.887
1.611 -0.401 2.629
1.611 -2.481 6.423
1.611 -2.481 9.351
```

Principal peaks in the range 2θ = 10–80°, sorted by position:
2θ/deg	I (rel.)
16.9	33.4
29.0	25.3
30.2	23.2
30.6	100.0
34.0	24.1
37.9	24.8
38.9	43.4
41.7	39.6
58.6	29.6
66.3	24.8